The following is a theoretical powder X-ray diffraction pattern of LiFe4P4O16. It was derived from a DFT-relaxed cell (GGA+U, Alexandria), using copper Kα.
Kinematic intensities with the Lorentz-polarization factor, no thermal factor.

Structural model:
Unit cell a=4.8662 b=5.9668 c=10.1107 alpha=90.05 beta=90.61 gamma=90.23
Space group P1 (No. 1)
One atom of each set of equivalent atoms:
Li 0.0000 0.0000 0.0000 [1 per cell]
Fe 0.0426 0.2569 0.2871 [1 per cell]
Fe 0.4750 0.2589 0.7783 [1 per cell]
Fe 0.5333 0.7529 0.2324 [1 per cell]
Fe 0.9692 0.7521 0.7266 [1 per cell]
P 0.0928 0.7568 0.4074 [1 per cell]
P 0.4364 0.7584 0.9132 [1 per cell]
P 0.5902 0.2551 0.1035 [1 per cell]
P 0.9045 0.2530 0.6053 [1 per cell]
O 0.1646 0.7567 0.5519 [1 per cell]
O 0.2130 0.2530 0.6339 [1 per cell]
O 0.2338 0.5545 0.3300 [1 per cell]
O 0.2377 0.9571 0.3300 [1 per cell]
O 0.2778 0.2439 0.1226 [1 per cell]
O 0.2835 0.9665 0.8495 [1 per cell]
O 0.3062 0.5530 0.8405 [1 per cell]
O 0.3449 0.7595 0.0609 [1 per cell]
O 0.6761 0.2522 0.9583 [1 per cell]
O 0.7270 0.4544 0.1821 [1 per cell]
O 0.7464 0.0516 0.1733 [1 per cell]
O 0.7490 0.7725 0.9041 [1 per cell]
O 0.7512 0.0542 0.6740 [1 per cell]
O 0.7553 0.4538 0.6738 [1 per cell]
O 0.7830 0.7577 0.3800 [1 per cell]
O 0.8580 0.2536 0.4537 [1 per cell]

Top 6 peaks for 10 to 90 degrees two-theta, low angle first:
(hkl), 2θ (°), I_rel
0 0 2, 17.54, 90
1 0 1, 20.34, 66
1 -1 1, 25.27, 70
0 2 0, 29.95, 100
1 1 -3, 35.58, 73
1 1 3, 35.88, 63